Structure and calculated X-ray powder pattern of PmZn4Cu6 (a structure optimized by DFT (GGA-PBE); Cu Kα).
Lines closer than 0.1° are merged.

The 10 most intense peaks (2θ from 5° to 70°), in order of rising 2θ:
h k l  2θ/deg  I/Imax
1 1 0  25.63  8
1 1 1  34.18  40
2 0 1  37.39  100
2 1 0  39.61  46
0 0 2  45.35  33
2 1 1  45.88  33
3 0 1  50.91  24
2 2 0  52.66  21
3 1 1  60.04  16
2 1 2  61.76  23

```
data_PmZn4Cu6
_cell_length_a 6.9520
_cell_length_b 6.9520
_cell_length_c 3.9992
_cell_angle_alpha 90.00
_cell_angle_beta 90.00
_cell_angle_gamma 120.00
_symmetry_space_group_name_H-M 'P -6 m 2'
_symmetry_Int_Tables_number 187
_symmetry_space_group_name_Hall 'P -6 2'
loop_
_atom_site_label
_atom_site_type_symbol
_atom_site_fract_x
_atom_site_fract_y
_atom_site_fract_z
_atom_site_occupancy
Pm1 Pm 0.0000 0.0000 0.0000 1
Zn1 Zn 0.3333 0.6667 0.0000 1
Zn2 Zn 0.4018 0.2009 0.5000 1
Cu1 Cu 0.2081 0.4161 0.5000 1
Cu2 Cu 0.5376 0.0752 0.0000 1
```

Structure and calculated X-ray powder pattern of PrSi3Pd2 (a structure optimized by DFT (GGA-PBE); Cu Kα).
Lines closer than 0.1° are merged.

The 10 most intense peaks (2θ from 5° to 70°), in order of rising 2θ:
h k l  2θ/deg  I/Imax
0 0 2  7.10  54
1 0 3  23.76  15
1 0 7  33.01  43
1 1 4  33.45  100
1 1 6  37.25  14
2 0 0  43.10  46
1 0 11  45.53  21
2 1 7  55.34  20
2 2 0  62.60  15
2 1 11  64.49  14

```
data_PrSi3Pd2
_cell_length_a 4.197
_cell_length_b 4.197
_cell_length_c 24.901
_cell_angle_alpha 90.00
_cell_angle_beta 90.00
_cell_angle_gamma 90.00
_symmetry_space_group_name_H-M 'I 4/m m m'
_symmetry_Int_Tables_number 139
_symmetry_space_group_name_Hall '-I 4 2'
loop_
_atom_site_label
_atom_site_type_symbol
_atom_site_fract_x
_atom_site_fract_y
_atom_site_fract_z
_atom_site_occupancy
Pr1 Pr 0.000 0.000 0.147 1
Si1 Si 0.000 0.000 0.304 1
Si2 Si 0.000 0.500 0.047 1
Pd1 Pd 0.000 0.000 0.404 1
Pd2 Pd 0.000 0.500 0.250 1
```